[1]
Structure and calculated XRD peak list of CeU2Re (a PBE-relaxed structure; Cu Kα, 1.54184 Å).
Lines closer than 0.1° are merged.

Principal peaks in the range 15 to 90 degrees two-theta, in order of falling intensity:
- 2θ 36.32, I 100.0
- 2θ 35.20, I 72.5
- 2θ 63.90, I 39.8
- 2θ 50.64, I 26.3
- 2θ 47.38, I 20.2
- 2θ 85.09, I 12.7

Structural model:
Cell lengths 3.6054, 3.6054, 6.7984 Å; angles 90.00, 90.00, 90.00 degrees
Space group P4/mmm (No. 123)
Inequivalent atoms, fractional coordinates:
Ce 0.0000 0.0000 0.0000
U 0.5000 0.5000 0.3050
Re 0.0000 0.0000 0.5000

---

[2]
Structure and calculated XRD peak list of LaPmDyTh2 (a PBE-relaxed structure; Cu Kα, 1.54184 Å).
Lines closer than 0.1° are merged.

Principal peaks in the range 15 to 90 degrees two-theta, in order of falling intensity:
- 2θ 28.77, I 100.0
- 2θ 37.69, I 42.1
- 2θ 34.97, I 40.2
- 2θ 34.04, I 38.6
- 2θ 51.69, I 30.8
- 2θ 62.67, I 22.8

Structural model:
Cell lengths 6.7480, 15.7944, 6.7519 Å; angles 90.00, 90.00, 90.00 degrees
Space group Cmcm (No. 63)
Inequivalent atoms, fractional coordinates:
La 0.0000 0.2464 0.2500
Pm 0.0000 0.3487 0.7500
Dy 0.0000 0.1501 0.7500
Th 0.2486 0.0000 0.0000

---

[3]
Structure and calculated XRD peak list of La3Ga5SiO14 (a PBE-relaxed structure; Cu Kα, 1.54184 Å).
Lines closer than 0.1° are merged.

Principal peaks in the range 15 to 90 degrees two-theta, in order of falling intensity:
- 2θ 27.71, I 100.0
- 2θ 30.44, I 91.5
- 2θ 48.90, I 36.5
- 2θ 33.11, I 33.9
- 2θ 49.20, I 29.5
- 2θ 59.07, I 27.6

Structural model:
Cell lengths 8.2666, 8.2666, 5.1352 Å; angles 90.00, 90.00, 120.00 degrees
Space group P3 (No. 143)
Inequivalent atoms, fractional coordinates:
La 0.0850 0.3387 0.0000
Ga 0.3333 0.6667 0.4824
Ga 0.4279 0.3299 0.5002
Ga 0.6667 0.3333 0.0104
Si 0.0000 0.0000 0.5541
O 0.0000 0.0000 0.2374
O 0.1328 0.6711 0.3244
O 0.1982 0.1580 0.6929
O 0.3333 0.6667 0.8382
O 0.4502 0.1775 0.2581
O 0.5396 0.1044 0.7863

---

[4]
Structure and calculated XRD peak list of MnCu2Au3 (a PBE-relaxed structure; Cu Kα, 1.54184 Å).
Lines closer than 0.1° are merged.

Principal peaks in the range 15 to 90 degrees two-theta, in order of falling intensity:
- 2θ 39.59, I 100.0
- 2θ 41.04, I 90.3
- 2θ 41.19, I 89.3
- 2θ 72.70, I 33.0
- 2θ 73.03, I 32.5
- 2θ 27.60, I 32.4

Structural model:
Cell lengths 4.5519, 6.0037, 7.1823 Å; angles 90.00, 108.02, 90.00 degrees
Space group P2/m (No. 10)
Inequivalent atoms, fractional coordinates:
Mn 0.1672 0.0000 0.3309
Cu 0.1700 0.5000 0.3375
Cu 0.5000 0.0000 0.0000
Cu 0.5000 0.5000 0.0000
Au 0.0000 0.2560 0.0000
Au 0.3330 0.2537 0.6690

---

[5]
Structure and calculated XRD peak list of Nd5SbIr2 (a PBE-relaxed structure; Cu Kα, 1.54184 Å).
Lines closer than 0.1° are merged.

Principal peaks in the range 15 to 90 degrees two-theta, in order of falling intensity:
- 2θ 31.59, I 100.0
- 2θ 35.15, I 55.0
- 2θ 41.37, I 27.0
- 2θ 34.34, I 17.6
- 2θ 65.54, I 17.3
- 2θ 65.66, I 16.2

Structural model:
Cell lengths 8.0730, 8.0730, 13.6985 Å; angles 90.00, 90.00, 90.00 degrees
Space group I4/mcm (No. 140)
Inequivalent atoms, fractional coordinates:
Nd 0.0000 0.0000 0.0000
Nd 0.1587 0.3413 0.1349
Sb 0.0000 0.0000 0.2500
Ir 0.1388 0.3612 0.5000

---

[6]
Structure and calculated XRD peak list of Sr2Cd12Hg5 (a PBE-relaxed structure; Cu Kα, 1.54184 Å).
Lines closer than 0.1° are merged.

Principal peaks in the range 15 to 90 degrees two-theta, in order of falling intensity:
- 2θ 38.88, I 100.0
- 2θ 34.34, I 74.4
- 2θ 34.71, I 72.8
- 2θ 35.82, I 68.8
- 2θ 39.87, I 33.8
- 2θ 61.51, I 28.1

Structural model:
Cell lengths 10.4448, 10.4448, 15.0504 Å; angles 90.00, 90.00, 120.00 degrees
Space group R-3m (No. 166, hexagonal axes)
Inequivalent atoms, fractional coordinates:
Sr 0.0000 0.0000 0.1676
Cd 0.0000 0.3028 0.5000
Cd 0.0172 0.5086 0.6507
Hg 0.0000 0.0000 0.3995
Hg 0.0000 0.5000 0.0000